Structure and theoretical powder X-ray diffraction pattern of Cs2NaInF6 (a DFT-relaxed cell (PBE, the Materials Project); λ = 1.5418 Å (Cu Kα)).

Most intense lines, 10° ≤ 2θ ≤ 80°, sorted by position:
two_theta  intensity  index
27.78  100  2 2 0
39.69  38  4 0 0
49.13  41  4 2 2
57.38  24  4 4 0
64.92  19  6 2 0
78.84  21  6 4 2

Structural model:
Cell: 9.0847 9.0847 9.0847 Å, 90.00 90.00 90.00°
Space group Fm-3m (No. 225)
Symmetry-distinct sites (fractional):
Cs  0.2500  0.2500  0.2500
Na  0.0000  0.0000  0.0000
In  0.0000  0.0000  0.5000
F  0.0000  0.0000  0.2662